# 1
This entry pairs a crystal structure of Sc2Tc with its theoretical X-ray powder pattern. Radiation: Cu Kα X-rays. Structure: a DFT-relaxed cell (PBE, Alexandria).
No peak broadening, texture or thermal motion is included.

Peak list (10 most intense, 2θ from 10° to 90°, low angle first)
Position (°2θ), I_rel
19.05, 100
34.34, 58
37.29, 78
38.64, 41
42.20, 86
43.42, 70
65.65, 17
69.05, 28
82.03, 17
82.67, 20

Atomic structure:
Lattice parameters (Å, degrees): 6.590 6.590 5.636 90.00 90.00 90.00
Positions (direct):
Sc: 0.173 0.327 0.000
Sc: 0.173 0.673 0.500
Sc: 0.327 0.173 0.500
Sc: 0.327 0.827 0.000
Sc: 0.673 0.173 0.000
Sc: 0.673 0.827 0.500
Sc: 0.827 0.327 0.500
Sc: 0.827 0.673 0.000
Tc: 0.000 0.000 0.250
Tc: 0.000 0.000 0.750
Tc: 0.500 0.500 0.250
Tc: 0.500 0.500 0.750

---

# 2
This entry pairs a crystal structure of HfTiOs with its theoretical X-ray powder pattern. Radiation: Cu Kα X-rays. Structure: a DFT-relaxed cell (PBE, Alexandria).
No peak broadening, texture or thermal motion is included.

Peak list (10 most intense, 2θ from 10° to 90°, low angle first)
Position (°2θ), I_rel
20.61, 30
33.28, 42
34.26, 49
39.49, 33
39.60, 100
41.06, 62
41.85, 22
41.99, 27
63.74, 25
72.18, 30

Atomic structure:
Lattice parameters (Å, degrees): 5.357 5.384 7.225 90.00 90.00 90.00
Positions (direct):
Hf: 0.000 0.250 0.119
Hf: 0.000 0.750 0.881
Hf: 0.500 0.250 0.381
Hf: 0.500 0.750 0.619
Ti: 0.000 0.000 0.500
Ti: 0.000 0.500 0.500
Ti: 0.500 0.000 0.000
Ti: 0.500 0.500 0.000
Os: 0.250 0.250 0.750
Os: 0.250 0.750 0.250
Os: 0.750 0.250 0.750
Os: 0.750 0.750 0.250

---

# 3
This entry pairs a crystal structure of NaUAgS4 with its theoretical X-ray powder pattern. Radiation: Cu Kα X-rays. Structure: a DFT-relaxed cell (PBE, Alexandria).
No peak broadening, texture or thermal motion is included.

Peak list (10 most intense, 2θ from 10° to 90°, low angle first)
Position (°2θ), I_rel
14.16, 74
15.57, 30
23.76, 35
26.09, 100
26.33, 47
32.47, 23
36.19, 25
38.59, 21
43.24, 34
45.82, 50

Atomic structure:
Lattice parameters (Å, degrees): 7.940 7.940 7.940 123.73 118.20 88.40
Positions (direct):
Na: 0.500 0.000 0.000
Na: 0.500 0.500 0.500
U: 0.000 0.000 0.000
U: 0.500 0.000 0.500
Ag: 0.108 0.358 0.750
Ag: 0.892 0.642 0.250
S: 0.208 0.216 0.992
S: 0.247 0.222 0.474
S: 0.247 0.773 0.026
S: 0.276 0.784 0.492
S: 0.724 0.216 0.508
S: 0.753 0.227 0.974
S: 0.753 0.778 0.526
S: 0.792 0.784 0.008

---

# 4
This entry pairs a crystal structure of CoRu2Rh with its theoretical X-ray powder pattern. Radiation: Cu Kα X-rays. Structure: a DFT-relaxed cell (PBE, Alexandria).
No peak broadening, texture or thermal motion is included.

Peak list (10 most intense, 2θ from 10° to 90°, low angle first)
Position (°2θ), I_rel
23.36, 1
26.67, 5
41.73, 100
43.13, 1
47.76, 17
48.97, 31
70.81, 20
71.77, 10
84.79, 12
86.61, 24

Atomic structure:
Lattice parameters (Å, degrees): 3.720 3.720 7.618 90.00 90.00 90.00
Positions (direct):
Co: 0.000 0.000 0.000
Co: 0.500 0.500 0.500
Ru: 0.000 0.500 0.250
Ru: 0.000 0.500 0.750
Ru: 0.500 0.000 0.250
Ru: 0.500 0.000 0.750
Rh: 0.000 0.000 0.500
Rh: 0.500 0.500 0.000

---

# 5
This entry pairs a crystal structure of Li2ScPt with its theoretical X-ray powder pattern. Radiation: Cu Kα X-rays. Structure: a DFT-relaxed cell (PBE, Alexandria).
No peak broadening, texture or thermal motion is included.

Peak list (10 most intense, 2θ from 10° to 90°, low angle first)
Position (°2θ), I_rel
18.26, 100
18.77, 39
26.30, 33
34.78, 20
35.62, 16
36.99, 41
38.06, 16
39.56, 33
41.53, 25
42.53, 27

Atomic structure:
Lattice parameters (Å, degrees): 2.955 4.858 4.739 90.00 93.76 90.00
Positions (direct):
Li: 0.215 0.000 0.282
Li: 0.785 0.000 0.718
Sc: 0.500 0.500 0.000
Pt: 0.000 0.500 0.500

---

# 6
This entry pairs a crystal structure of Cd3In6Hg2 with its theoretical X-ray powder pattern. Radiation: Cu Kα X-rays. Structure: a DFT-relaxed cell (PBE, Alexandria).
No peak broadening, texture or thermal motion is included.

Peak list (10 most intense, 2θ from 10° to 90°, low angle first)
Position (°2θ), I_rel
32.81, 100
34.03, 29
38.43, 64
54.65, 23
56.28, 20
65.23, 14
65.96, 24
67.42, 10
68.78, 11
82.32, 6

Atomic structure:
Lattice parameters (Å, degrees): 29.048 29.048 29.048 6.63 6.63 6.63
Positions (direct):
Cd: 0.000 0.000 0.000
Cd: 0.274 0.274 0.274
Cd: 0.726 0.726 0.726
In: 0.089 0.089 0.089
In: 0.182 0.182 0.182
In: 0.363 0.363 0.363
In: 0.637 0.637 0.637
In: 0.818 0.818 0.818
In: 0.911 0.911 0.911
Hg: 0.453 0.453 0.453
Hg: 0.547 0.547 0.547